# 1
The following is a theoretical powder diffractogram of Pm7Dy3Sc2. It was derived from DFT lattice parameters and positions (PBE), using a wavelength of 1.5418 Å.
Kinematic intensities with the Lorentz-polarization factor, no thermal factor.

Structure:
```
data_Pm7Dy3Sc2
_chemical_formula_sum 'Pm14 Dy6 Sc4'
_space_group_name_H-M_alt 'C 1 2/m 1'
_space_group_IT_number 12
_space_group_name_Hall '-C 2y'
_cell_length_a 7.163
_cell_length_b 9.952
_cell_length_c 11.298
_cell_angle_alpha 90.00
_cell_angle_beta 108.40
_cell_angle_gamma 90.00
loop_
_atom_site_label
_atom_site_type_symbol
_atom_site_fract_x
_atom_site_fract_y
_atom_site_fract_z
Pm1 Pm 0.000 0.000 0.000
Pm2 Pm 0.000 0.250 0.500
Pm3 Pm 0.165 0.250 0.830
Dy1 Dy 0.000 0.500 0.000
Dy2 Dy 0.169 0.000 0.338
Sc1 Sc 0.167 0.500 0.334
```

Most intense lines, 2θ from 10° to 90°, in order of falling intensity:
d/Å, I/Imax
2.905, 100.0
2.530, 34.1
1.774, 23.5
1.524, 21.4
2.488, 16.3
1.505, 13.9
1.152, 8.7
4.510, 7.3
1.521, 7.0
1.453, 6.1

---

# 2
The following is a theoretical powder diffractogram of Pm14DySc. It was derived from DFT lattice parameters and positions (PBE), using a wavelength of 1.5418 Å.
Kinematic intensities with the Lorentz-polarization factor, no thermal factor.

Structure:
```
data_Pm14DySc
_chemical_formula_sum 'Pm14 Dy1 Sc1'
_space_group_name_H-M_alt 'P 4/m m m'
_space_group_IT_number 123
_space_group_name_Hall '-P 4 2'
_cell_length_a 7.249
_cell_length_b 7.249
_cell_length_c 10.217
_cell_angle_alpha 90.00
_cell_angle_beta 90.00
_cell_angle_gamma 90.00
loop_
_atom_site_label
_atom_site_type_symbol
_atom_site_fract_x
_atom_site_fract_y
_atom_site_fract_z
Pm1 Pm 0.000 0.000 0.000
Pm2 Pm 0.000 0.500 0.000
Pm3 Pm 0.000 0.500 0.500
Pm4 Pm 0.248 0.248 0.254
Pm5 Pm 0.500 0.500 0.000
Dy1 Dy 0.500 0.500 0.500
Sc1 Sc 0.000 0.000 0.500
```

Most intense lines, 2θ from 10° to 90°, in order of falling intensity:
d/Å, I/Imax
2.956, 100.0
1.810, 36.0
2.563, 33.9
1.545, 28.6
2.554, 16.7
1.541, 14.1
1.478, 12.3
1.174, 11.5
1.146, 10.9
1.176, 5.9